# KNaWO2F4
Computed powder X-ray diffraction pattern, Cu Kα X-rays. Input: a PBE+U-relaxed structure.
Intensities are scaled so that the largest is 100.

Crystal structure
Unit cell a=6.1200 b=6.1200 c=8.4138 alpha=90.00 beta=90.00 gamma=90.00
Positions (direct):
K: 0.2500 0.7500 0.0000
K: 0.7500 0.2500 0.0000
Na: 0.2500 0.2500 0.2738
Na: 0.7500 0.7500 0.7262
W: 0.2500 0.2500 0.7559
W: 0.7500 0.7500 0.2441
O: 0.2500 0.2500 0.5423
O: 0.2500 0.2500 0.9780
O: 0.7500 0.7500 0.0220
O: 0.7500 0.7500 0.4577
F: 0.0220 0.0220 0.7644
F: 0.0220 0.4780 0.7644
F: 0.4780 0.0220 0.7644
F: 0.4780 0.4780 0.7644
F: 0.5220 0.5220 0.2356
F: 0.5220 0.9780 0.2356
F: 0.9780 0.5220 0.2356
F: 0.9780 0.9780 0.2356

Most intense lines, 15 to 90 degrees two-theta, sorted by position:
2theta  d_spacing  Rel. int.
17.9  4.949  100.0
20.5  4.327  48.6
21.1  4.207  25.0
29.2  3.060  20.9
29.6  3.016  45.1
34.5  2.603  30.5
41.7  2.164  23.2
52.0  1.758  18.3